Entry 1:
Starting from a crystal structure in the Materials Project, relaxed with PBE+U, the X-ray powder pattern of Sr2ZrCrO6 was computed for λ = 1.5418 Å (Cu Kα).

```
Sr2ZrCrO6
1.0
5.717 0.000 0.000
0.000 5.717 0.000
0.000 0.000 8.008
Sr Zr Cr O
4 2 2 12
Direct
0.000 0.500 0.250
0.000 0.500 0.750
0.500 0.000 0.250
0.500 0.000 0.750
0.000 0.000 0.000
0.500 0.500 0.500
0.000 0.000 0.500
0.500 0.500 0.000
0.000 0.000 0.262
0.000 0.000 0.738
0.239 0.239 0.500
0.244 0.756 0.500
0.256 0.256 0.000
0.261 0.739 0.000
0.500 0.500 0.238
0.500 0.500 0.762
0.739 0.261 0.000
0.744 0.744 0.000
0.756 0.244 0.500
0.761 0.761 0.500
```

Principal peaks in the range 10 to 90 degrees two-theta, by intensity:
- 2θ = 31.45°, I 100
- 2θ = 31.29°, I 51
- 2θ = 55.80°, I 39
- 2θ = 44.85°, I 37
- 2θ = 65.64°, I 21
- 2θ = 56.09°, I 19
- 2θ = 45.30°, I 18
- 2θ = 74.23°, I 17
- 2θ = 65.29°, I 11
- 2θ = 38.71°, I 11

Entry 2:
Starting from a crystal structure in the Materials Project, relaxed with PBE+U, the X-ray powder pattern of La4MgCoO8 was computed for λ = 1.5418 Å (Cu Kα).

```
La4MgCoO8
1.0
8.677 -2.692 0.000
8.677 2.692 0.000
-0.971 0.000 4.575
La Mg Co O
4 1 1 8
Direct
0.000 0.000 0.000
0.248 0.248 0.813
0.587 0.587 0.622
0.834 0.834 0.435
0.417 0.417 0.219
0.417 0.417 0.719
0.107 0.631 0.926
0.115 0.115 0.791
0.203 0.727 0.511
0.302 0.302 0.363
0.532 0.532 0.073
0.631 0.107 0.926
0.719 0.719 0.642
0.727 0.203 0.511
```

Principal peaks in the range 10 to 90 degrees two-theta, by intensity:
- 2θ = 26.91°, I 100
- 2θ = 27.85°, I 69
- 2θ = 31.14°, I 64
- 2θ = 33.28°, I 63
- 2θ = 40.81°, I 59
- 2θ = 44.36°, I 43
- 2θ = 10.42°, I 36
- 2θ = 19.40°, I 34
- 2θ = 25.49°, I 28
- 2θ = 22.80°, I 26